Starting from a crystal structure in the Materials Project, relaxed with GGA+U, the PXRD pattern of KMgInMo3O12 was calculated for Cu Kα (λ = 1.5418 Å).
Neutral-atom scattering factors, no anomalous dispersion.

Structure:
Cell lengths 9.970, 9.970, 9.970 Å; angles 58.22, 58.22, 58.22 degrees
Positions (direct):
K 0.000 0.000 0.000
K 0.500 0.500 0.500
Mg 0.143 0.143 0.143
Mg 0.643 0.643 0.643
In 0.355 0.355 0.355
In 0.855 0.855 0.855
Mo 0.034 0.752 0.460
Mo 0.252 0.534 0.960
Mo 0.460 0.034 0.752
Mo 0.534 0.960 0.252
Mo 0.752 0.460 0.034
Mo 0.960 0.252 0.534
O 0.006 0.778 0.639
O 0.062 0.932 0.276
O 0.071 0.723 0.934
O 0.139 0.278 0.506
O 0.219 0.356 0.995
O 0.223 0.571 0.434
O 0.276 0.062 0.932
O 0.278 0.506 0.139
O 0.356 0.995 0.219
O 0.432 0.562 0.776
O 0.434 0.223 0.571
O 0.495 0.856 0.719
O 0.506 0.139 0.278
O 0.562 0.776 0.432
O 0.571 0.434 0.223
O 0.639 0.006 0.778
O 0.719 0.495 0.856
O 0.723 0.934 0.071
O 0.776 0.432 0.562
O 0.778 0.639 0.006
O 0.856 0.719 0.495
O 0.932 0.276 0.062
O 0.934 0.071 0.723
O 0.995 0.219 0.356

Largest 10 diffraction maxima, in order of rising 2θ, 10° ≤ 2θ ≤ 80°:
2theta, I/Imax
12.7, 22
21.3, 100
21.5, 9
22.4, 10
25.6, 15
28.4, 58
32.0, 25
37.6, 15
43.3, 14
48.9, 7

***

Starting from a crystal structure in the Materials Project, relaxed with GGA+U, the PXRD pattern of Li9Mn15O32 was calculated for Cu Kα (λ = 1.5418 Å).
Neutral-atom scattering factors, no anomalous dispersion.

Structure:
Cell lengths 8.203, 8.203, 10.031 Å; angles 113.99, 113.99, 89.74 degrees
Positions (direct):
Li 0.000 0.000 0.000
Li 0.063 0.063 0.373
Li 0.182 0.690 0.122
Li 0.310 0.818 0.878
Li 0.434 0.434 0.623
Li 0.566 0.566 0.377
Li 0.690 0.182 0.122
Li 0.818 0.310 0.878
Li 0.937 0.937 0.627
Mn 0.000 0.500 0.500
Mn 0.124 0.375 0.750
Mn 0.127 0.373 0.250
Mn 0.248 0.752 0.500
Mn 0.250 0.250 0.003
Mn 0.373 0.127 0.250
Mn 0.375 0.124 0.750
Mn 0.500 0.000 0.500
Mn 0.500 0.500 0.000
Mn 0.625 0.876 0.250
Mn 0.627 0.873 0.750
Mn 0.750 0.750 0.997
Mn 0.752 0.248 0.500
Mn 0.873 0.627 0.750
Mn 0.876 0.625 0.250
O 0.005 0.730 0.486
O 0.031 0.264 0.023
O 0.102 0.606 0.736
O 0.120 0.622 0.266
O 0.146 0.146 0.767
O 0.147 0.147 0.254
O 0.230 0.511 0.490
O 0.259 0.481 0.986
O 0.264 0.031 0.023
O 0.270 0.995 0.514
O 0.360 0.360 0.241
O 0.368 0.368 0.763
O 0.378 0.880 0.734
O 0.394 0.898 0.264
O 0.481 0.259 0.986
O 0.489 0.770 0.510
O 0.511 0.230 0.490
O 0.519 0.741 0.014
O 0.606 0.102 0.736
O 0.622 0.120 0.266
O 0.632 0.632 0.237
O 0.640 0.640 0.759
O 0.730 0.005 0.486
O 0.736 0.969 0.977
O 0.741 0.519 0.014
O 0.770 0.489 0.510
O 0.853 0.853 0.746
O 0.854 0.854 0.233
O 0.880 0.378 0.734
O 0.898 0.394 0.264
O 0.969 0.736 0.977
O 0.995 0.270 0.514

Largest 10 diffraction maxima, in order of rising 2θ, 10° ≤ 2θ ≤ 80°:
2theta, I/Imax
18.6, 56
18.8, 100
36.2, 15
36.3, 39
36.4, 16
44.1, 85
58.3, 10
58.4, 14
64.0, 25
64.4, 25

***

Starting from a crystal structure in the Materials Project, relaxed with GGA+U, the PXRD pattern of Ti4NiP4O20 was calculated for Cu Kα (λ = 1.5418 Å).
Neutral-atom scattering factors, no anomalous dispersion.

Structure:
Cell lengths 7.443, 7.289, 14.898 Å; angles 90.00, 119.56, 90.00 degrees
Positions (direct):
Ti 0.220 0.223 0.367
Ti 0.220 0.277 0.867
Ti 0.238 0.746 0.120
Ti 0.238 0.754 0.620
Ti 0.762 0.246 0.380
Ti 0.762 0.254 0.880
Ti 0.780 0.723 0.133
Ti 0.780 0.777 0.633
Ni 0.500 0.000 0.000
Ni 0.500 0.500 0.500
P 0.006 0.623 0.380
P 0.006 0.877 0.880
P 0.497 0.632 0.871
P 0.497 0.868 0.371
P 0.503 0.132 0.629
P 0.503 0.368 0.129
P 0.994 0.123 0.120
P 0.994 0.377 0.620
O 0.005 0.675 0.123
O 0.005 0.825 0.623
O 0.088 0.235 0.222
O 0.088 0.265 0.722
O 0.094 0.743 0.970
O 0.094 0.757 0.470
O 0.164 0.003 0.122
O 0.164 0.497 0.622
O 0.187 0.501 0.387
O 0.187 0.999 0.887
O 0.322 0.520 0.874
O 0.322 0.980 0.374
O 0.336 0.503 0.119
O 0.336 0.997 0.619
O 0.404 0.236 0.035
O 0.404 0.264 0.535
O 0.415 0.743 0.771
O 0.415 0.757 0.271
O 0.495 0.650 0.597
O 0.495 0.850 0.097
O 0.505 0.150 0.903
O 0.505 0.350 0.403
O 0.585 0.243 0.729
O 0.585 0.257 0.229
O 0.596 0.736 0.465
O 0.596 0.764 0.965
O 0.664 0.003 0.381
O 0.664 0.497 0.881
O 0.678 0.020 0.626
O 0.678 0.480 0.126
O 0.813 0.001 0.113
O 0.813 0.499 0.613
O 0.836 0.503 0.378
O 0.836 0.997 0.878
O 0.906 0.243 0.530
O 0.906 0.257 0.030
O 0.912 0.735 0.278
O 0.912 0.765 0.778
O 0.995 0.175 0.377
O 0.995 0.325 0.877

Largest 10 diffraction maxima, in order of rising 2θ, 10° ≤ 2θ ≤ 80°:
2theta, I/Imax
13.7, 25
13.9, 16
18.3, 22
22.0, 33
26.9, 100
27.2, 17
27.5, 45
30.6, 18
55.4, 24
56.8, 15

***

Starting from a crystal structure in the Materials Project, relaxed with GGA+U, the PXRD pattern of BaCaCeNiO6 was calculated for Cu Kα (λ = 1.5418 Å).
Neutral-atom scattering factors, no anomalous dispersion.

Structure:
Cell lengths 5.777, 5.777, 5.777 Å; angles 60.00, 60.00, 60.00 degrees
Positions (direct):
Ba 0.000 0.000 0.000
Ca 0.500 0.500 0.500
Ce 0.750 0.750 0.750
Ni 0.250 0.250 0.250
O 0.018 0.018 0.482
O 0.018 0.482 0.018
O 0.018 0.482 0.482
O 0.482 0.018 0.018
O 0.482 0.018 0.482
O 0.482 0.482 0.018

Largest 10 diffraction maxima, in order of rising 2θ, 10° ≤ 2θ ≤ 80°:
2theta, I/Imax
18.8, 21
31.0, 100
36.5, 15
44.4, 33
48.6, 8
55.1, 38
58.7, 5
64.5, 20
67.9, 5
73.3, 17

***

Starting from a crystal structure in the Materials Project, relaxed with GGA+U, the PXRD pattern of Li9Mn2Co5O16 was calculated for Cu Kα (λ = 1.5418 Å).
Neutral-atom scattering factors, no anomalous dispersion.

Structure:
Cell lengths 5.947, 6.550, 7.741 Å; angles 89.34, 79.43, 75.96 degrees
Positions (direct):
Li 0.000 0.000 0.000
Li 0.004 0.498 0.497
Li 0.132 0.866 0.614
Li 0.252 0.741 0.245
Li 0.381 0.621 0.873
Li 0.504 0.499 0.497
Li 0.628 0.374 0.120
Li 0.761 0.253 0.741
Li 0.875 0.133 0.382
Mn 0.504 0.997 0.996
Mn 0.633 0.876 0.620
Co 0.126 0.375 0.124
Co 0.245 0.263 0.740
Co 0.364 0.134 0.375
Co 0.758 0.739 0.252
Co 0.881 0.618 0.869
O 0.052 0.680 0.055
O 0.086 0.179 0.558
O 0.194 0.550 0.695
O 0.213 0.059 0.173
O 0.314 0.420 0.299
O 0.344 0.947 0.807
O 0.436 0.292 0.940
O 0.457 0.821 0.445
O 0.559 0.172 0.560
O 0.569 0.705 0.055
O 0.675 0.043 0.176
O 0.698 0.586 0.692
O 0.789 0.935 0.810
O 0.819 0.447 0.297
O 0.913 0.820 0.444
O 0.951 0.316 0.934

Largest 10 diffraction maxima, in order of rising 2θ, 10° ≤ 2θ ≤ 80°:
2theta, I/Imax
18.3, 100
35.8, 15
36.0, 14
36.3, 13
43.2, 28
43.4, 28
44.0, 27
62.5, 8
63.1, 7
63.4, 8